# 1
Structure and theoretical powder diffraction line list of Th3Co2Re (the PBE geometry in OQMD; λ = 1.5418 Å (Cu Kα)).
No peak broadening, texture or thermal motion is included.

Structure:
a = 3.9750 Å, b = 3.9750 Å, c = 8.1206 Å
α = 90.00°, β = 90.00°, γ = 90.00°
Space group P-4m2 (No. 115)
Asymmetric unit:
Th  0.0000  0.0000  0.0000
Th  0.0000  0.5000  0.6496
Co  0.0000  0.5000  0.2860
Re  0.5000  0.5000  0.0000

Peak list (6 most intense, 2θ from 10° to 80°, by angle)
| hkl | d [Å] | 2θ (°) | I/Imax |
| --- | --- | --- | --- |
| 1 0 2 | 2.840 | 31.50 | 34 |
| 0 0 3 | 2.707 | 33.09 | 45 |
| 1 1 1 | 2.656 | 33.74 | 100 |
| 1 1 2 | 2.311 | 38.97 | 60 |
| 2 0 0 | 1.987 | 45.65 | 43 |
| 2 0 3 | 1.602 | 57.53 | 38 |

=====

# 2
Structure and theoretical powder diffraction line list of Zr2CoRe (the PBE geometry in OQMD; λ = 1.5418 Å (Cu Kα)).
No peak broadening, texture or thermal motion is included.

Structure:
a = 6.4256 Å, b = 6.4256 Å, c = 6.4256 Å
α = 90.00°, β = 90.00°, γ = 90.00°
Space group F-43m (No. 216)
Asymmetric unit:
Zr  0.0000  0.0000  0.0000
Zr  0.2500  0.2500  0.2500
Co  0.2500  0.2500  0.7500
Re  0.0000  0.0000  0.5000

Peak list (6 most intense, 2θ from 10° to 80°, by angle)
| hkl | d [Å] | 2θ (°) | I/Imax |
| --- | --- | --- | --- |
| 1 1 1 | 3.710 | 23.99 | 12 |
| 2 0 0 | 3.213 | 27.77 | 10 |
| 2 2 0 | 2.272 | 39.67 | 100 |
| 3 1 1 | 1.937 | 46.90 | 6 |
| 4 0 0 | 1.606 | 57.36 | 17 |
| 4 2 2 | 1.312 | 72.00 | 33 |

=====

Repeat the first record exactly.
Structure and theoretical powder diffraction line list of Th3Co2Re (the PBE geometry in OQMD; λ = 1.5418 Å (Cu Kα)).
No peak broadening, texture or thermal motion is included.

Structure:
a = 3.9750 Å, b = 3.9750 Å, c = 8.1206 Å
α = 90.00°, β = 90.00°, γ = 90.00°
Space group P-4m2 (No. 115)
Asymmetric unit:
Th  0.0000  0.0000  0.0000
Th  0.0000  0.5000  0.6496
Co  0.0000  0.5000  0.2860
Re  0.5000  0.5000  0.0000

Peak list (6 most intense, 2θ from 10° to 80°, by angle)
| hkl | d [Å] | 2θ (°) | I/Imax |
| --- | --- | --- | --- |
| 1 0 2 | 2.840 | 31.50 | 34 |
| 0 0 3 | 2.707 | 33.09 | 45 |
| 1 1 1 | 2.656 | 33.74 | 100 |
| 1 1 2 | 2.311 | 38.97 | 60 |
| 2 0 0 | 1.987 | 45.65 | 43 |
| 2 0 3 | 1.602 | 57.53 | 38 |